This entry pairs a crystal structure of CaTb2Hg8 with its theoretical powder X-ray diffraction pattern. Radiation: a wavelength of 1.5418 Å. Structure: the GGA-PBE geometry in Alexandria.

Cell: 16.0562 4.9517 7.2452 Å, 90.00 107.47 90.00°
Space group C2/m (No. 12)
Unique sites:
Ca 0.0000 0.0000 0.0000 (multiplicity 2)
Tb 0.2188 0.5000 0.6603 (multiplicity 4)
Hg 0.0342 0.5000 0.7315 (multiplicity 4)
Hg 0.0977 0.0000 0.4623 (multiplicity 4)
Hg 0.1465 0.5000 0.1964 (multiplicity 4)
Hg 0.1761 0.0000 0.9043 (multiplicity 4)

Largest 12 diffraction maxima, low angle first, 10 to 90 degrees two-theta:
two_theta, I (rel.), hkl
33.54, 1000, 1 1 2
36.28, 214, 0 2 0
39.12, 161, 4 0 -3
41.22, 134, 6 0 1
54.41, 126, 4 2 -3
56.06, 111, 6 2 1
58.13, 89, 2 0 4
63.53, 161, 1 3 2
67.34, 112, 3 1 -5
70.25, 97, 7 1 3
70.48, 102, 2 2 4
89.99, 33, 4 4 -3



This entry pairs a crystal structure of Ca3P2Pd9Au with its theoretical powder X-ray diffraction pattern. Radiation: a wavelength of 1.5418 Å. Structure: the GGA-PBE geometry in Alexandria.

Cell: 7.2436 7.2436 6.7863 Å, 90.00 90.00 120.00°
Space group P-3m1 (No. 164)
Unique sites:
Ca 0.0000 0.0000 0.0000 (multiplicity 1)
Ca 0.3333 0.6667 0.6778 (multiplicity 2)
P 0.3333 0.6667 0.1333 (multiplicity 2)
Pd 0.0000 0.5000 0.0000 (multiplicity 3)
Pd 0.1898 0.3796 0.3365 (multiplicity 6)
Au 0.0000 0.0000 0.5000 (multiplicity 1)

Largest 12 diffraction maxima, low angle first, 10 to 90 degrees two-theta:
two_theta, I (rel.), hkl
19.27, 762, 1 0 1
31.42, 687, 0 2 1
37.95, 163, 2 1 0
39.11, 1000, 2 0 2
39.85, 132, 0 0 3
40.29, 383, 2 1 1
47.38, 113, 1 1 3
50.39, 400, 2 2 0
62.21, 248, 0 2 4
65.58, 169, 0 4 2
66.09, 112, 2 2 3
87.08, 134, 4 2 2



This entry pairs a crystal structure of Pm2Cd5Au3 with its theoretical powder X-ray diffraction pattern. Radiation: a wavelength of 1.5418 Å. Structure: the GGA-PBE geometry in Alexandria.

Cell: 6.0752 8.9722 8.9729 Å, 92.39 101.60 101.64°
Space group P-1 (No. 2)
Unique sites:
Pm 0.1721 0.3851 0.3897 (multiplicity 2)
Pm 0.3281 0.1100 0.1149 (multiplicity 2)
Cd 0.0097 0.7473 0.2600 (multiplicity 2)
Cd 0.1745 0.7410 0.9685 (multiplicity 2)
Cd 0.2500 0.0269 0.4731 (multiplicity 2)
Cd 0.3250 0.5313 0.7583 (multiplicity 2)
Cd 0.4904 0.2400 0.7530 (multiplicity 2)
Au 0.1461 0.9637 0.7688 (multiplicity 2)
Au 0.2508 0.4437 0.0557 (multiplicity 2)
Au 0.3539 0.7312 0.5360 (multiplicity 2)

Largest 12 diffraction maxima, low angle first, 10 to 90 degrees two-theta:
two_theta, I (rel.), hkl
28.03, 86, 1 2 -1
31.20, 378, 1 -3 0
33.16, 1000, 0 1 3
37.89, 86, 1 -3 2
38.23, 365, 2 1 1
39.72, 511, 1 3 -2
41.23, 182, 0 0 4
47.43, 168, -2 3 3
50.15, 173, 1 4 1
62.49, 123, 0 4 4
63.55, 94, -1 1 6
65.91, 89, 2 2 4



This entry pairs a crystal structure of Er5ZrHg6 with its theoretical powder X-ray diffraction pattern. Radiation: a wavelength of 1.5418 Å. Structure: the GGA-PBE geometry in Alexandria.

Cell: 5.1630 7.3435 8.1660 Å, 90.00 108.01 90.00°
Space group P2/m (No. 10)
Unique sites:
Er 0.0000 0.0000 0.0000 (multiplicity 1)
Er 0.3318 0.0000 0.6642 (multiplicity 2)
Er 0.3372 0.5000 0.6760 (multiplicity 2)
Zr 0.0000 0.5000 0.0000 (multiplicity 1)
Hg 0.1670 0.2533 0.3328 (multiplicity 4)
Hg 0.5000 0.2466 0.0000 (multiplicity 2)

Largest 12 diffraction maxima, low angle first, 10 to 90 degrees two-theta:
two_theta, I (rel.), hkl
34.59, 1000, 1 2 1
34.71, 992, 2 0 -1
49.68, 242, 2 0 2
50.09, 118, 2 0 -4
61.99, 374, 2 4 -1
62.09, 125, 3 2 0
62.21, 123, 1 2 -5
62.34, 123, 3 2 -3
72.89, 78, 2 4 2
73.17, 115, 2 4 -4
83.27, 140, 3 2 3
83.92, 82, 3 2 -6



This entry pairs a crystal structure of Na5B6C4 with its theoretical powder X-ray diffraction pattern. Radiation: a wavelength of 1.5418 Å. Structure: the GGA-PBE geometry in Alexandria.

Cell: 2.8543 2.8543 42.4063 Å, 90.00 90.00 120.00°
Space group P6_3/mmc (No. 194)
Unique sites:
Na 0.0000 0.0000 0.0000 (multiplicity 2)
Na 0.0000 0.0000 0.0991 (multiplicity 4)
Na 0.0000 0.0000 0.1989 (multiplicity 4)
B 0.3333 0.6667 0.0495 (multiplicity 4)
B 0.3333 0.6667 0.2500 (multiplicity 2)
B 0.3333 0.6667 0.6486 (multiplicity 4)
B 0.3333 0.6667 0.7500 (multiplicity 2)
C 0.3333 0.6667 0.1486 (multiplicity 4)
C 0.3333 0.6667 0.5495 (multiplicity 4)

Largest 11 diffraction maxima, low angle first, 10 to 90 degrees two-theta:
two_theta, I (rel.), hkl
20.95, 8, 0 0 10
36.34, 177, 1 0 0
42.32, 1000, 1 0 10
42.64, 254, 0 0 20
57.24, 97, 1 0 20
65.39, 173, 1 1 0
69.49, 14, 1 1 10
77.18, 17, 2 0 0
77.84, 122, 1 0 30
81.04, 110, 2 0 10
81.26, 169, 1 1 20



This entry pairs a crystal structure of La12Tb6Y with its theoretical powder X-ray diffraction pattern. Radiation: a wavelength of 1.5418 Å. Structure: the GGA-PBE geometry in Alexandria.

Cell: 15.0230 15.0230 10.4756 Å, 90.00 90.00 120.00°
Space group R-3 (No. 148, hexagonal axes)
Unique sites:
La 0.0443 0.7866 0.0734 (multiplicity 18)
La 0.0657 0.8386 0.4213 (multiplicity 18)
Tb 0.0484 0.8471 0.7597 (multiplicity 18)
Y 0.0000 0.0000 0.0000 (multiplicity 3)

Largest 12 diffraction maxima, low angle first, 10 to 90 degrees two-theta:
two_theta, I (rel.), hkl
20.48, 165, 3 0 0
28.18, 493, 1 1 3
28.74, 195, 4 0 1
30.07, 224, 4 -1 2
31.51, 1000, 4 1 0
32.93, 650, 0 3 3
35.09, 419, 2 2 3
49.83, 121, 3 5 1
51.05, 268, 7 -2 3
52.43, 131, 0 0 6
59.85, 122, 8 -7 3
62.45, 252, 5 -4 6



This entry pairs a crystal structure of PmPr3Er7 with its theoretical powder X-ray diffraction pattern. Radiation: a wavelength of 1.5418 Å. Structure: the GGA-PBE geometry in Alexandria.

Cell: 6.5289 6.6695 8.6320 Å, 99.11 98.64 95.03°
Space group P-1 (No. 2)
Unique sites:
Pm 0.0000 0.0000 0.0000 (multiplicity 1)
Pr 0.2984 0.4369 0.3394 (multiplicity 2)
Pr 0.5000 0.0000 0.5000 (multiplicity 1)
Er 0.0000 0.5000 0.0000 (multiplicity 1)
Er 0.0581 0.2069 0.6443 (multiplicity 2)
Er 0.2260 0.7227 0.7162 (multiplicity 2)
Er 0.4861 0.2351 0.9160 (multiplicity 2)

Largest 12 diffraction maxima, low angle first, 10 to 90 degrees two-theta:
two_theta, I (rel.), hkl
31.49, 678, 1 2 -1
31.60, 203, 0 2 -2
31.95, 1000, -1 2 1
32.17, 470, 2 0 -2
32.27, 374, 2 -1 1
32.50, 329, 0 1 -3
32.68, 186, 1 0 -3
32.89, 364, 1 1 2
34.81, 181, 1 -2 2
53.33, 120, 2 2 -4
57.50, 150, -3 2 3
57.93, 130, 0 3 3



This entry pairs a crystal structure of BeCuRuF with its theoretical powder X-ray diffraction pattern. Radiation: a wavelength of 1.5418 Å. Structure: the GGA-PBE geometry in Alexandria.

Cell: 2.7444 2.7444 7.2517 Å, 90.00 90.00 120.00°
Space group P3m1 (No. 156)
Unique sites:
Be 0.0000 0.0000 0.0000 (multiplicity 1)
Cu 0.0000 0.0000 0.5223 (multiplicity 1)
Ru 0.3333 0.6667 0.2368 (multiplicity 1)
F 0.0000 0.0000 0.7978 (multiplicity 1)

Largest 12 diffraction maxima, low angle first, 10 to 90 degrees two-theta:
two_theta, I (rel.), hkl
12.21, 1000, 0 0 1
37.20, 206, 0 0 3
37.85, 251, 1 0 0
39.92, 790, 1 0 1
45.64, 579, 0 1 2
50.33, 105, 0 0 4
54.12, 219, 0 1 3
64.66, 131, 1 0 4
68.36, 157, 1 1 0
77.03, 114, 1 0 5
80.48, 119, 1 1 3
89.59, 115, 1 1 4



This entry pairs a crystal structure of MnAsW2 with its theoretical powder X-ray diffraction pattern. Radiation: a wavelength of 1.5418 Å. Structure: the GGA-PBE geometry in Alexandria.

Cell: 3.2045 3.2215 5.7553 Å, 90.00 90.00 90.00°
Space group Pmm2 (No. 25)
Unique sites:
Mn 0.0000 0.0000 0.0000 (multiplicity 1)
As 0.5000 0.5000 0.7469 (multiplicity 1)
W 0.0000 0.0000 0.5080 (multiplicity 1)
W 0.5000 0.5000 0.2143 (multiplicity 1)

Largest 12 diffraction maxima, low angle first, 10 to 90 degrees two-theta:
two_theta, I (rel.), hkl
15.40, 305, 0 0 1
31.83, 281, 0 1 1
31.97, 278, 1 0 1
39.67, 1000, 1 1 0
42.10, 796, 0 1 2
42.21, 790, 1 0 2
57.19, 171, 0 2 0
57.52, 168, 2 0 0
63.46, 134, 1 1 3
73.59, 304, 1 2 2
73.80, 301, 2 1 2
78.72, 209, 1 1 4



This entry pairs a crystal structure of CeZrSc2P4 with its theoretical powder X-ray diffraction pattern. Radiation: a wavelength of 1.5418 Å. Structure: the GGA-PBE geometry in Alexandria.

Cell: 5.4360 5.4360 10.8424 Å, 90.00 90.00 90.00°
Space group I4/mmm (No. 139)
Unique sites:
Ce 0.0000 0.0000 0.0000 (multiplicity 2)
Zr 0.0000 0.0000 0.5000 (multiplicity 2)
Sc 0.0000 0.5000 0.2500 (multiplicity 4)
P 0.0000 0.0000 0.2551 (multiplicity 4)
P 0.0000 0.5000 0.0000 (multiplicity 4)

Largest 12 diffraction maxima, low angle first, 10 to 90 degrees two-theta:
two_theta, I (rel.), hkl
16.35, 182, 0 0 2
23.14, 165, 1 1 0
28.47, 385, 1 1 2
32.99, 1000, 2 0 0
37.00, 101, 2 0 2
40.73, 77, 1 1 4
47.34, 689, 2 2 0
56.13, 116, 3 1 2
58.91, 233, 2 2 4
78.75, 197, 4 2 0
78.93, 97, 2 0 8
88.07, 152, 4 2 4



This entry pairs a crystal structure of K2Bi4Pb5 with its theoretical powder X-ray diffraction pattern. Radiation: a wavelength of 1.5418 Å. Structure: the GGA-PBE geometry in Alexandria.

Cell: 6.9072 11.7042 21.1208 Å, 90.00 90.00 90.00°
Space group Fmmm (No. 69)
Unique sites:
K 0.0000 0.0000 0.1170 (multiplicity 8)
Bi 0.0000 0.1348 0.3628 (multiplicity 16)
Pb 0.0000 0.0000 0.5000 (multiplicity 4)
Pb 0.2500 0.2500 0.0000 (multiplicity 8)
Pb 0.2500 0.2500 0.2500 (multiplicity 8)

Largest 12 diffraction maxima, low angle first, 10 to 90 degrees two-theta:
two_theta, I (rel.), hkl
15.14, 419, 0 2 0
15.48, 1000, 1 1 1
22.68, 310, 0 2 4
29.19, 646, 1 3 3
30.04, 437, 2 2 0
30.94, 883, 2 0 4
33.30, 327, 1 1 7
33.93, 685, 0 0 8
34.61, 651, 2 2 4
35.06, 849, 0 4 4
40.40, 355, 2 4 0
45.97, 307, 2 2 8



This entry pairs a crystal structure of KTcO3 with its theoretical powder X-ray diffraction pattern. Radiation: a wavelength of 1.5418 Å. Structure: the GGA-PBE geometry in Alexandria.

Cell: 6.0748 5.4894 7.1677 Å, 90.00 112.56 90.00°
Space group P2_1/m (No. 11)
Unique sites:
K 0.0918 0.2500 0.2257 (multiplicity 2)
Tc 0.4349 0.2500 0.8878 (multiplicity 2)
O 0.2809 0.2500 0.6290 (multiplicity 2)
O 0.3127 0.5014 0.0189 (multiplicity 4)

Largest 12 diffraction maxima, low angle first, 10 to 90 degrees two-theta:
two_theta, I (rel.), hkl
13.38, 1000, 0 0 1
15.80, 332, 1 0 0
16.33, 437, 1 0 -1
22.66, 329, 1 1 0
23.04, 280, 1 1 -1
25.47, 90, 1 0 -2
29.42, 584, 2 0 -1
30.30, 317, 1 1 -2
31.57, 106, 0 1 2
32.63, 154, 0 2 0
44.24, 145, 0 1 3
44.52, 310, 2 2 -1



This entry pairs a crystal structure of KIn2Hg with its theoretical powder X-ray diffraction pattern. Radiation: a wavelength of 1.5418 Å. Structure: the GGA-PBE geometry in Alexandria.

Cell: 5.0413 11.8043 8.0334 Å, 90.00 90.00 90.00°
Space group Cmcm (No. 63)
Unique sites:
K 0.0000 0.0735 0.2500 (multiplicity 4)
In 0.0000 0.3649 0.0539 (multiplicity 8)
Hg 0.0000 0.2138 0.7500 (multiplicity 4)

Largest 12 diffraction maxima, low angle first, 10 to 90 degrees two-theta:
two_theta, I (rel.), hkl
15.01, 673, 0 2 0
18.66, 430, 0 2 1
22.14, 480, 1 1 1
29.42, 696, 1 1 2
30.90, 851, 1 3 1
32.32, 312, 0 4 1
35.62, 575, 2 0 0
36.60, 691, 1 3 2
37.83, 359, 0 4 2
38.84, 1000, 1 1 3
52.93, 271, 2 4 2
57.64, 263, 1 7 0